Starting from a crystal structure in Alexandria, relaxed with GGA-PBE, the powder diffractogram of La9Al3N2 was simulated for copper Kα.
Intensities are scaled so that the largest is 100.

Largest 12 diffraction maxima, in order of rising 2θ, 2θ from 10° to 80°:
two_theta, I_rel
17.50, 23
24.85, 13
30.56, 100
35.43, 55
39.78, 11
43.76, 7
50.97, 38
54.31, 6
60.60, 42
63.61, 13
69.39, 3
74.97, 6

Crystal structure
Cell: 7.1677 7.1677 8.7739 Å, 90.00 90.00 120.00°
Element x y z (fractional)
1 La 0.0000 0.5000 0.0000
2 La 0.1707 0.3414 0.6707
3 La 0.1707 0.8293 0.6707
4 La 0.3414 0.1707 0.3293
5 La 0.5000 0.0000 0.0000
6 La 0.5000 0.5000 0.0000
7 La 0.6586 0.8293 0.6707
8 La 0.8293 0.1707 0.3293
9 La 0.8293 0.6586 0.3293
10 Al 0.0000 0.0000 0.0000
11 Al 0.3333 0.6667 0.3345
12 Al 0.6667 0.3333 0.6655
13 N 0.3333 0.6667 0.8267
14 N 0.6667 0.3333 0.1733



Starting from a crystal structure in Alexandria, relaxed with GGA-PBE, the powder diffractogram of LaNd12Al4N3 was simulated for copper Kα.
Intensities are scaled so that the largest is 100.

Largest 12 diffraction maxima, in order of rising 2θ, 2θ from 10° to 80°:
two_theta, I_rel
17.37, 48
30.32, 100
32.81, 9
35.15, 74
39.46, 21
41.47, 8
50.56, 50
53.86, 10
60.10, 38
63.07, 16
67.38, 6
74.30, 7

Crystal structure
Cell: 8.8444 8.8444 8.8444 Å, 109.47 109.47 109.47°
Element x y z (fractional)
1 La 0.0000 0.0000 0.0000
2 Nd 0.0000 0.2744 0.2744
3 Nd 0.0000 0.7256 0.7256
4 Nd 0.2500 0.5000 0.7500
5 Nd 0.2500 0.7500 0.5000
6 Nd 0.2744 0.0000 0.2744
7 Nd 0.2744 0.2744 0.0000
8 Nd 0.5000 0.2500 0.7500
9 Nd 0.5000 0.7500 0.2500
10 Nd 0.7256 0.0000 0.7256
11 Nd 0.7256 0.7256 0.0000
12 Nd 0.7500 0.2500 0.5000
13 Nd 0.7500 0.5000 0.2500
14 Al 0.0000 0.0000 0.5000
15 Al 0.0000 0.5000 0.0000
16 Al 0.5000 0.0000 0.0000
17 Al 0.5000 0.5000 0.5000
18 N 0.0000 0.5000 0.5000
19 N 0.5000 0.0000 0.5000
20 N 0.5000 0.5000 0.0000



Starting from a crystal structure in Alexandria, relaxed with GGA-PBE, the powder diffractogram of LaAlPdN was simulated for copper Kα.
Intensities are scaled so that the largest is 100.

Largest 12 diffraction maxima, in order of rising 2θ, 2θ from 10° to 80°:
two_theta, I_rel
24.49, 31
29.83, 41
30.02, 74
33.40, 100
37.75, 43
45.65, 46
52.13, 51
55.49, 28
55.60, 27
66.54, 14
74.63, 17
76.53, 17

Crystal structure
Cell: 3.9750 3.9750 8.9845 Å, 90.00 90.00 90.00°
Element x y z (fractional)
1 La 0.2500 0.2500 0.1409
2 La 0.7500 0.7500 0.8591
3 Al 0.2500 0.2500 0.6677
4 Al 0.7500 0.7500 0.3323
5 Pd 0.2500 0.7500 0.5000
6 Pd 0.7500 0.2500 0.5000
7 N 0.2500 0.2500 0.8769
8 N 0.7500 0.7500 0.1231



Starting from a crystal structure in Alexandria, relaxed with GGA-PBE, the powder diffractogram of Na2LaAl2 was simulated for copper Kα.
Intensities are scaled so that the largest is 100.

Largest 12 diffraction maxima, in order of rising 2θ, 2θ from 10° to 80°:
two_theta, I_rel
12.50, 61
20.87, 48
25.15, 23
27.50, 62
28.28, 29
31.03, 100
37.61, 47
40.43, 31
48.17, 27
49.59, 24
56.39, 29
67.70, 20

Crystal structure
Cell: 7.7542 7.7542 7.7542 Å, 146.55 146.55 48.03°
Element x y z (fractional)
1 Na 0.2500 0.7500 0.5000
2 Na 0.7500 0.2500 0.5000
3 La 0.0000 0.0000 0.0000
4 Al 0.4115 0.4115 0.0000
5 Al 0.5885 0.5885 0.0000



Starting from a crystal structure in Alexandria, relaxed with GGA-PBE, the powder diffractogram of La3NbAl2O9 was simulated for copper Kα.
Intensities are scaled so that the largest is 100.

Largest 12 diffraction maxima, in order of rising 2θ, 2θ from 10° to 80°:
two_theta, I_rel
22.71, 44
31.72, 100
32.94, 88
40.39, 34
46.39, 63
55.72, 16
58.06, 36
58.83, 17
66.28, 17
69.10, 18
76.03, 15
78.03, 16

Crystal structure
Cell: 5.4377 5.4377 7.0446 Å, 90.00 90.00 120.00°
Element x y z (fractional)
1 La 0.0000 0.0000 0.0000
2 La 0.3333 0.6667 0.6934
3 La 0.6667 0.3333 0.3066
4 Nb 0.0000 0.0000 0.5000
5 Al 0.3333 0.6667 0.1584
6 Al 0.6667 0.3333 0.8416
7 O 0.0000 0.5000 0.0000
8 O 0.1695 0.3390 0.3102
9 O 0.1695 0.8305 0.3102
10 O 0.3390 0.1695 0.6898
11 O 0.5000 0.0000 0.0000
12 O 0.5000 0.5000 0.0000
13 O 0.6610 0.8305 0.3102
14 O 0.8305 0.1695 0.6898
15 O 0.8305 0.6610 0.6898